Structure and theoretical powder diffractogram of Nd2InI (DFT lattice parameters and positions (GGA-PBE); Cu Kα (λ = 1.5418 Å)).
No peak broadening, texture or thermal motion is included.

Peak list (12 most intense, 15 to 90 degrees two-theta, by angle)
d [Å]  Position (°2θ)  Rel. int.
2.889  31.0  59
2.712  33.0  100
2.043  44.3  22
1.813  50.3  8
1.632  56.4  43
1.536  60.3  17
1.445  64.5  7
1.356  69.3  11
1.292  73.3  10
1.275  74.4  9
1.159  83.4  7
1.130  86.1  7

Structure:
```
Nd2InI
1.0
5.7782 0.0000 0.0000
0.0000 5.7782 0.0000
0.0000 0.0000 3.6255
Nd In I
2 1 1
Direct
0.0000 0.5000 0.0000
0.5000 0.0000 0.0000
0.0000 0.0000 0.5000
0.5000 0.5000 0.5000
```

---

Structure and theoretical powder diffractogram of Cs2BaCl4 (DFT lattice parameters and positions (GGA-PBE); Cu Kα (λ = 1.5418 Å)).
No peak broadening, texture or thermal motion is included.

Peak list (12 most intense, 15 to 90 degrees two-theta, by angle)
d [Å]  Position (°2θ)  Rel. int.
4.288  20.7  22
4.147  21.4  100
4.055  21.9  97
4.014  22.1  25
3.283  27.2  27
3.156  28.3  20
3.137  28.4  61
2.930  30.5  71
2.652  33.8  18
2.431  37.0  46
2.359  38.1  54
2.098  43.1  32

Structure:
```
Cs2BaCl4
1.0
8.5769 0.0000 0.0000
0.0000 14.2120 0.0000
0.0000 0.0000 4.8640
Cs Ba Cl
4 2 8
Direct
0.0702 0.1795 0.0000
0.4298 0.6795 0.0000
0.5702 0.3205 0.0000
0.9298 0.8205 0.0000
0.0000 0.5000 0.5000
0.5000 0.0000 0.5000
0.1392 0.6978 0.5000
0.2202 0.4553 0.0000
0.2798 0.9553 0.0000
0.3608 0.1978 0.5000
0.6392 0.8022 0.5000
0.7202 0.0447 0.0000
0.7798 0.5447 0.0000
0.8608 0.3022 0.5000
```

---

Structure and theoretical powder diffractogram of TbHo4Tm2Mg (DFT lattice parameters and positions (GGA-PBE); Cu Kα (λ = 1.5418 Å)).
No peak broadening, texture or thermal motion is included.

Peak list (12 most intense, 15 to 90 degrees two-theta, by angle)
d [Å]  Position (°2θ)  Rel. int.
4.930  18.0  4
4.409  20.1  5
2.846  31.4  100
2.465  36.5  51
1.743  52.5  36
1.487  62.4  28
1.485  62.6  14
1.423  65.6  12
1.233  77.4  4
1.131  85.9  18
1.103  88.7  11
1.101  88.9  6

Structure:
```
TbHo4Tm2Mg
1.0
4.9230 0.0000 0.0000
0.0000 4.9334 0.0000
0.0000 0.0000 9.8661
Tb Ho Tm Mg
1 4 2 1
Direct
0.0000 0.0000 0.0000
0.0000 0.5000 0.2526
0.0000 0.5000 0.7474
0.5000 0.0000 0.2530
0.5000 0.0000 0.7470
0.0000 0.0000 0.5000
0.5000 0.5000 0.0000
0.5000 0.5000 0.5000
```

---

Structure and theoretical powder diffractogram of TbPr5Er12 (DFT lattice parameters and positions (GGA-PBE); Cu Kα (λ = 1.5418 Å)).
No peak broadening, texture or thermal motion is included.

Peak list (12 most intense, 15 to 90 degrees two-theta, by angle)
d [Å]  Position (°2θ)  Rel. int.
2.875  31.1  55
2.870  31.2  10
2.814  31.8  100
2.769  32.3  6
2.034  44.6  18
1.949  46.6  7
1.650  55.7  12
1.647  55.8  20
1.613  57.1  13
1.486  62.5  6
1.455  64.0  6
1.407  66.5  7

Structure:
```
TbPr5Er12
1.0
5.8455 -8.6385 0.0000
5.8455 8.6385 0.0000
-0.0001 0.0000 5.7444
Tb Pr Er
1 5 12
Direct
0.0000 0.0000 0.0000
0.1395 0.8605 0.5000
0.3582 0.6418 0.0000
0.5000 0.5000 0.5000
0.6418 0.3582 0.0000
0.8605 0.1395 0.5000
0.0191 0.6650 0.9995
0.1651 0.5214 0.5005
0.1965 0.1965 0.4977
0.3008 0.3008 0.9977
0.3350 0.9809 0.0005
0.4786 0.8349 0.4995
0.5214 0.1651 0.5005
0.6650 0.0191 0.9995
0.6992 0.6992 0.0023
0.8035 0.8035 0.5023
0.8349 0.4786 0.4995
0.9809 0.3350 0.0005
```